Entry 1:
# Pr3Dy
Simulated powder XRD pattern, CuKα. Input: a PBE-relaxed structure.
Kinematic intensities with the Lorentz-polarization factor, no thermal factor.

Peak list (10 most intense, 2θ from 10° to 80°, low angle first)
hkl  2θ (°)  intensity
1 0 1  27.87  23
0 4 0  29.96  26
0 2 2  31.72  100
1 4 1  41.38  16
2 0 0  49.18  7
1 0 3  49.37  13
0 6 2  54.31  22
2 4 0  58.67  8
1 4 3  58.83  15
2 2 2  59.75  11

Atomic structure:
```
data_Pr3Dy
_space_group_name_H-M_alt 'I m m 2'
_space_group_IT_number 44
_cell_length_a 3.7051
_cell_length_b 11.9301
_cell_length_c 6.3876
_cell_angle_alpha 90.00
_cell_angle_beta 90.00
_cell_angle_gamma 90.00
loop_
_space_group_symop_operation_xyz
'x,y,z'
'-x,-y,z'
'-x,y,z'
'x,-y,z'
'x+1/2,y+1/2,z+1/2'
'-x+1/2,-y+1/2,z+1/2'
'-x+1/2,y+1/2,z+1/2'
'x+1/2,-y+1/2,z+1/2'
loop_
_atom_site_label
_atom_site_fract_x
_atom_site_fract_y
_atom_site_fract_z
_atom_site_occupancy
Pr1 0.0000 0.0000 0.0000 1
Pr2 0.0000 0.2478 0.3335 1
Dy1 0.0000 0.5000 0.0010 1
```

Entry 2:
# Pr5Dy
Simulated powder XRD pattern, CuKα. Input: a PBE-relaxed structure.
Kinematic intensities with the Lorentz-polarization factor, no thermal factor.

Peak list (10 most intense, 2θ from 10° to 80°, low angle first)
hkl  2θ (°)  intensity
1 3 0  29.69  100
2 0 0  34.34  17
0 3 2  34.46  34
2 3 2  49.46  30
0 6 0  49.55  6
3 3 0  58.66  15
1 6 2  58.82  29
2 6 0  61.66  12
4 0 0  72.36  2
0 6 4  72.67  4

Atomic structure:
```
data_Pr5Dy
_space_group_name_H-M_alt 'P m m n'
_space_group_IT_number 59
_cell_length_a 5.2236
_cell_length_b 11.0384
_cell_length_c 7.3623
_cell_angle_alpha 90.00
_cell_angle_beta 90.00
_cell_angle_gamma 90.00
loop_
_space_group_symop_operation_xyz
'x,y,z'
'-x,-y,-z'
'-x+1/2,-y+1/2,z'
'x+1/2,y+1/2,-z'
'x+1/2,-y,-z'
'-x+1/2,y,z'
'-x,y+1/2,-z'
'x,-y+1/2,z'
loop_
_atom_site_label
_atom_site_fract_x
_atom_site_fract_y
_atom_site_fract_z
_atom_site_occupancy
Pr1 0.2500 0.0831 0.1235 1
Pr2 0.2500 0.0850 0.6269 1
Pr3 0.2500 0.7500 0.6262 1
Dy1 0.2500 0.7500 0.1232 1
```